Entry 1:
The following is a calculated PXRD pattern of TmPuGa4. It was derived from a cell relaxed with GGA-PBE, using a wavelength of 1.5418 Å.
Lines closer than 0.1° are merged.

The 12 most intense peaks (2θ = 10–90°), in order of rising 2θ:
2θ/deg, intensity
23.16, 28
34.30, 100
40.65, 34
40.77, 17
51.19, 9
54.15, 9
54.28, 18
67.36, 22
69.90, 17
70.08, 8
74.13, 6
85.43, 8

Cell and atoms:
a = 4.426 Å, b = 7.138 Å, c = 7.696 Å
α = 90.00°, β = 90.00°, γ = 90.00°
Fractional positions:
Tm 0.000 0.000 0.000
Tm 0.500 0.500 0.500
Pu 0.000 0.500 0.002
Pu 0.500 0.000 0.502
Ga 0.000 0.256 0.334
Ga 0.000 0.258 0.668
Ga 0.000 0.742 0.668
Ga 0.000 0.744 0.334
Ga 0.500 0.242 0.168
Ga 0.500 0.244 0.834
Ga 0.500 0.756 0.834
Ga 0.500 0.758 0.168



Entry 2:
The following is a calculated PXRD pattern of Pu3Zn2Ga9. It was derived from a cell relaxed with GGA-PBE, using a wavelength of 1.5418 Å.
Lines closer than 0.1° are merged.

The 12 most intense peaks (2θ = 10–90°), in order of rising 2θ:
2θ/deg, intensity
17.72, 14
22.60, 21
23.11, 17
29.92, 23
34.07, 35
34.42, 27
34.99, 100
37.06, 15
42.24, 28
43.40, 17
55.58, 14
72.54, 14

Cell and atoms:
a = 8.292 Å, b = 8.292 Å, c = 8.292 Å
α = 150.09°, β = 105.73°, γ = 82.07°
Fractional positions:
Pu 0.000 0.000 0.000
Pu 0.310 0.310 0.000
Pu 0.690 0.690 0.000
Zn 0.297 0.500 0.797
Zn 0.703 0.500 0.203
Ga 0.028 0.656 0.372
Ga 0.133 0.857 0.276
Ga 0.285 0.656 0.628
Ga 0.420 0.143 0.276
Ga 0.500 0.000 0.500
Ga 0.580 0.857 0.724
Ga 0.715 0.344 0.372
Ga 0.867 0.143 0.724
Ga 0.972 0.344 0.628



Entry 3:
The following is a calculated PXRD pattern of Pu2ZnGa7. It was derived from a cell relaxed with GGA-PBE, using a wavelength of 1.5418 Å.
Lines closer than 0.1° are merged.

The 12 most intense peaks (2θ = 10–90°), in order of rising 2θ:
2θ/deg, intensity
22.59, 25
29.91, 24
32.60, 68
34.27, 100
42.81, 46
47.09, 35
54.82, 32
59.79, 12
62.14, 15
65.51, 26
72.92, 22
85.01, 11

Cell and atoms:
a = 4.225 Å, b = 4.225 Å, c = 10.847 Å
α = 90.00°, β = 90.00°, γ = 90.00°
Fractional positions:
Pu 0.000 0.500 0.249
Pu 0.500 0.000 0.751
Zn 0.000 0.000 0.500
Ga 0.000 0.000 0.000
Ga 0.000 0.500 0.635
Ga 0.000 0.500 0.860
Ga 0.500 0.000 0.140
Ga 0.500 0.000 0.365
Ga 0.500 0.500 0.000
Ga 0.500 0.500 0.500



Entry 4:
The following is a calculated PXRD pattern of Pu3Zn8Ga3. It was derived from a cell relaxed with GGA-PBE, using a wavelength of 1.5418 Å.
Lines closer than 0.1° are merged.

The 12 most intense peaks (2θ = 10–90°), in order of rising 2θ:
2θ/deg, intensity
22.32, 25
23.23, 18
29.49, 25
35.00, 35
35.16, 100
35.60, 27
36.44, 15
37.94, 25
41.13, 33
43.22, 17
55.51, 15
61.20, 14

Cell and atoms:
a = 8.167 Å, b = 8.167 Å, c = 8.167 Å
α = 148.82°, β = 109.07°, γ = 79.49°
Fractional positions:
Pu 0.000 0.000 0.000
Pu 0.307 0.307 0.000
Pu 0.693 0.693 0.000
Zn 0.029 0.662 0.367
Zn 0.134 0.858 0.276
Zn 0.295 0.662 0.633
Zn 0.418 0.142 0.276
Zn 0.582 0.858 0.724
Zn 0.705 0.338 0.367
Zn 0.866 0.142 0.724
Zn 0.971 0.338 0.633
Ga 0.295 0.500 0.795
Ga 0.500 0.000 0.500
Ga 0.705 0.500 0.205



Entry 5:
The following is a calculated PXRD pattern of Pu2Zn12Ga5. It was derived from a cell relaxed with GGA-PBE, using a wavelength of 1.5418 Å.
Lines closer than 0.1° are merged.

The 12 most intense peaks (2θ = 10–90°), in order of rising 2θ:
2θ/deg, intensity
28.10, 39
32.56, 16
33.53, 46
38.91, 51
39.54, 100
41.18, 18
41.38, 25
58.10, 15
64.00, 21
70.46, 19
74.23, 18
85.14, 15

Cell and atoms:
a = 6.900 Å, b = 6.900 Å, c = 6.900 Å
α = 84.27°, β = 84.27°, γ = 84.27°
Fractional positions:
Pu 0.174 0.174 0.174
Pu 0.826 0.826 0.826
Zn 0.147 0.147 0.675
Zn 0.147 0.675 0.147
Zn 0.186 0.500 0.814
Zn 0.186 0.814 0.500
Zn 0.325 0.853 0.853
Zn 0.500 0.186 0.814
Zn 0.500 0.814 0.186
Zn 0.675 0.147 0.147
Zn 0.814 0.186 0.500
Zn 0.814 0.500 0.186
Zn 0.853 0.325 0.853
Zn 0.853 0.853 0.325
Ga 0.000 0.500 0.500
Ga 0.402 0.402 0.402
Ga 0.500 0.000 0.500
Ga 0.500 0.500 0.000
Ga 0.598 0.598 0.598



Entry 6:
The following is a calculated PXRD pattern of Pu3ZnGa. It was derived from a cell relaxed with GGA-PBE, using a wavelength of 1.5418 Å.
Lines closer than 0.1° are merged.

The 12 most intense peaks (2θ = 10–90°), in order of rising 2θ:
2θ/deg, intensity
19.06, 88
31.01, 22
36.65, 100
38.67, 35
44.30, 30
44.51, 22
48.66, 19
48.83, 18
50.37, 11
60.25, 18
60.40, 18
68.66, 15

Cell and atoms:
a = 6.434 Å, b = 6.466 Å, c = 9.314 Å
α = 90.00°, β = 90.00°, γ = 90.00°
Fractional positions:
Pu 0.000 0.000 0.245
Pu 0.000 0.000 0.755
Pu 0.143 0.356 0.241
Pu 0.143 0.356 0.759
Pu 0.357 0.856 0.259
Pu 0.357 0.856 0.741
Pu 0.500 0.500 0.255
Pu 0.500 0.500 0.745
Pu 0.643 0.144 0.259
Pu 0.643 0.144 0.741
Pu 0.857 0.644 0.241
Pu 0.857 0.644 0.759
Zn 0.171 0.672 0.000
Zn 0.329 0.172 0.500
Zn 0.671 0.828 0.500
Zn 0.829 0.328 0.000
Ga 0.157 0.646 0.500
Ga 0.343 0.146 0.000
Ga 0.657 0.854 0.000
Ga 0.843 0.354 0.500



Entry 7:
The following is a calculated PXRD pattern of Pu2ZnGa3. It was derived from a cell relaxed with GGA-PBE, using a wavelength of 1.5418 Å.
Lines closer than 0.1° are merged.

The 12 most intense peaks (2θ = 10–90°), in order of rising 2θ:
2θ/deg, intensity
21.88, 48
36.32, 100
38.38, 66
44.61, 8
53.87, 33
59.26, 6
63.95, 6
68.04, 22
68.12, 11
69.36, 8
72.84, 20
82.26, 5

Cell and atoms:
a = 3.119 Å, b = 4.696 Å, c = 8.115 Å
α = 90.00°, β = 90.00°, γ = 90.00°
Fractional positions:
Pu 0.000 0.000 0.000
Pu 0.000 0.500 0.497
Zn 0.500 0.500 0.830
Ga 0.500 0.000 0.333
Ga 0.500 0.000 0.669
Ga 0.500 0.500 0.162



Entry 8:
The following is a calculated PXRD pattern of PuZn3Ga3. It was derived from a cell relaxed with GGA-PBE, using a wavelength of 1.5418 Å.
Lines closer than 0.1° are merged.

The 12 most intense peaks (2θ = 10–90°), in order of rising 2θ:
2θ/deg, intensity
21.18, 100
26.01, 78
30.12, 47
33.78, 50
45.88, 91
48.52, 61
58.17, 14
64.78, 15
66.90, 25
73.08, 24
82.98, 17
84.92, 13

Cell and atoms:
a = 8.391 Å, b = 8.391 Å, c = 8.391 Å
α = 60.00°, β = 60.00°, γ = 60.00°
Fractional positions:
Pu 0.250 0.250 0.250
Pu 0.750 0.750 0.750
Zn 0.151 0.151 0.849
Zn 0.151 0.849 0.151
Zn 0.151 0.849 0.849
Zn 0.849 0.151 0.151
Zn 0.849 0.151 0.849
Zn 0.849 0.849 0.151
Ga 0.345 0.345 0.655
Ga 0.345 0.655 0.345
Ga 0.345 0.655 0.655
Ga 0.655 0.345 0.345
Ga 0.655 0.345 0.655
Ga 0.655 0.655 0.345



Entry 9:
The following is a calculated PXRD pattern of Pu3Zn6Ga5. It was derived from a cell relaxed with GGA-PBE, using a wavelength of 1.5418 Å.
Lines closer than 0.1° are merged.

The 12 most intense peaks (2θ = 10–90°), in order of rising 2θ:
2θ/deg, intensity
22.44, 20
23.03, 12
29.38, 19
34.06, 13
35.16, 100
35.61, 20
36.26, 17
38.04, 12
41.36, 25
60.98, 12
68.77, 12
71.41, 13

Cell and atoms:
a = 4.366 Å, b = 12.701 Å, c = 9.417 Å
α = 90.00°, β = 90.00°, γ = 90.00°
Fractional positions:
Pu 0.250 0.051 0.250
Pu 0.250 0.449 0.250
Pu 0.250 0.750 0.248
Pu 0.750 0.250 0.752
Pu 0.750 0.551 0.750
Pu 0.750 0.949 0.750
Zn 0.250 0.091 0.612
Zn 0.250 0.250 0.053
Zn 0.250 0.250 0.444
Zn 0.250 0.409 0.612
Zn 0.250 0.602 0.976
Zn 0.250 0.898 0.976
Zn 0.750 0.102 0.024
Zn 0.750 0.398 0.024
Zn 0.750 0.591 0.388
Zn 0.750 0.750 0.556
Zn 0.750 0.750 0.947
Zn 0.750 0.909 0.388
Ga 0.250 0.094 0.878
Ga 0.250 0.406 0.878
Ga 0.250 0.610 0.529
Ga 0.250 0.750 0.761
Ga 0.250 0.890 0.529
Ga 0.750 0.110 0.471
Ga 0.750 0.250 0.239
Ga 0.750 0.390 0.471
Ga 0.750 0.594 0.122
Ga 0.750 0.906 0.122



Entry 10:
The following is a calculated PXRD pattern of Pu3Zn4Ga2. It was derived from a cell relaxed with GGA-PBE, using a wavelength of 1.5418 Å.
Lines closer than 0.1° are merged.

The 12 most intense peaks (2θ = 10–90°), in order of rising 2θ:
2θ/deg, intensity
21.77, 52
37.22, 100
38.19, 71
44.39, 9
54.37, 28
61.93, 6
68.36, 23
68.47, 11
69.00, 8
75.10, 13
75.22, 6
81.73, 8

Cell and atoms:
a = 5.579 Å, b = 5.579 Å, c = 8.697 Å
α = 120.02°, β = 120.02°, γ = 50.01°
Fractional positions:
Pu 0.000 0.000 0.000
Pu 0.332 0.332 0.333
Pu 0.668 0.668 0.667
Zn 0.059 0.059 0.394
Zn 0.282 0.282 0.951
Zn 0.718 0.718 0.049
Zn 0.941 0.941 0.606
Ga 0.390 0.390 0.723
Ga 0.610 0.610 0.277



Entry 11:
The following is a calculated PXRD pattern of PuZn17Ga. It was derived from a cell relaxed with GGA-PBE, using a wavelength of 1.5418 Å.
Lines closer than 0.1° are merged.

The 12 most intense peaks (2θ = 10–90°), in order of rising 2θ:
2θ/deg, intensity
13.20, 17
28.19, 11
34.77, 28
35.35, 27
40.22, 18
40.34, 100
40.87, 24
45.32, 32
66.09, 12
73.18, 11
73.39, 14
87.20, 13

Cell and atoms:
a = 6.836 Å, b = 6.836 Å, c = 6.836 Å
α = 81.65°, β = 81.65°, γ = 81.65°
Fractional positions:
Pu 0.000 0.000 0.000
Zn 0.009 0.009 0.500
Zn 0.009 0.500 0.009
Zn 0.162 0.676 0.676
Zn 0.314 0.314 0.812
Zn 0.314 0.812 0.314
Zn 0.361 0.654 0.979
Zn 0.361 0.979 0.654
Zn 0.500 0.009 0.009
Zn 0.563 0.563 0.563
Zn 0.654 0.361 0.979
Zn 0.654 0.979 0.361
Zn 0.676 0.162 0.676
Zn 0.676 0.676 0.162
Zn 0.761 0.761 0.761
Zn 0.812 0.314 0.314
Zn 0.979 0.361 0.654
Zn 0.979 0.654 0.361
Ga 0.259 0.259 0.259



Entry 12:
The following is a calculated PXRD pattern of Pu3Zn3Ga8. It was derived from a cell relaxed with GGA-PBE, using a wavelength of 1.5418 Å.
Lines closer than 0.1° are merged.

The 12 most intense peaks (2θ = 10–90°), in order of rising 2θ:
2θ/deg, intensity
11.17, 100
27.99, 44
33.39, 32
33.96, 38
36.33, 40
36.60, 32
36.93, 34
38.92, 30
39.71, 36
42.53, 50
42.88, 25
50.58, 25

Cell and atoms:
a = 9.895 Å, b = 9.895 Å, c = 9.895 Å
α = 161.07°, β = 109.59°, γ = 73.67°
Fractional positions:
Pu 0.000 0.000 0.000
Pu 0.277 0.000 0.277
Pu 0.723 0.000 0.723
Zn 0.374 0.874 0.500
Zn 0.500 0.500 0.000
Zn 0.626 0.126 0.500
Ga 0.013 0.640 0.374
Ga 0.110 0.805 0.305
Ga 0.266 0.640 0.626
Ga 0.500 0.195 0.305
Ga 0.500 0.805 0.695
Ga 0.734 0.360 0.374
Ga 0.890 0.195 0.695
Ga 0.987 0.360 0.626